# 1
Structure and calculated powder X-ray diffraction pattern of Ca3PmSb2P (a PBE-relaxed structure; Cu Kα X-rays).

a b c (Å): 5.2157 5.4086 16.2756
angles (deg): 90.00 90.00 90.00
Space group Immm (No. 71)
Symmetry-distinct sites (fractional):
Ca1 0.0000 0.0000 0.0000 x2
Ca2 0.0000 0.5000 0.3251 x4
Pm1 0.0000 0.0000 0.5000 x2
Sb1 0.0000 0.5000 0.1334 x4
P1 0.0000 0.5000 0.5000 x2

The 10 most intense peaks (2θ from 15° to 90°), sorted by position:
- hkl 0 1 1, 17.28°, intensity 37.4
- hkl 1 0 3, 23.67°, intensity 44.1
- hkl 1 1 2, 26.14°, intensity 42.2
- hkl 1 1 4, 32.44°, intensity 100.0
- hkl 0 0 6, 33.02°, intensity 14.8
- hkl 0 2 0, 33.13°, intensity 31.1
- hkl 2 0 0, 34.39°, intensity 28.0
- hkl 1 2 5, 47.03°, intensity 15.3
- hkl 2 2 0, 48.47°, intensity 30.3
- hkl 3 1 4, 60.37°, intensity 16.3

=====

# 2
Structure and calculated powder X-ray diffraction pattern of CaPmPSe (a PBE-relaxed structure; Cu Kα X-rays).

a b c (Å): 4.1840 4.1840 20.6225
angles (deg): 90.00 90.00 120.00
Space group R3m (No. 160, hexagonal axes)
Symmetry-distinct sites (fractional):
Ca1 0.0000 0.0000 0.0000 x3
Pm1 0.0000 0.0000 0.5114 x3
P1 0.0000 0.0000 0.2516 x3
Se1 0.0000 0.0000 0.7543 x3

The 10 most intense peaks (2θ from 15° to 90°), sorted by position:
- hkl 1 0 1, 24.95°, intensity 24.7
- hkl 1 0 4, 30.15°, intensity 100.0
- hkl 0 1 5, 32.90°, intensity 15.4
- hkl 0 1 8, 43.06°, intensity 35.2
- hkl 1 1 0, 43.25°, intensity 36.7
- hkl 0 2 4, 53.62°, intensity 19.0
- hkl 2 0 8, 62.68°, intensity 11.3
- hkl 1 1 12, 70.98°, intensity 14.5
- hkl 2 1 4, 71.24°, intensity 16.0
- hkl 1 2 8, 79.20°, intensity 11.5